LaAs2Au: theoretical PXRD pattern (Cu Kα (λ = 1.5418 Å)), based on a cell relaxed with GGA-PBE.
Intensities are scaled so that the largest is 100.

Cell lengths 4.1647, 4.1647, 20.8969 Å; angles 90.00, 90.00, 90.00 degrees
Element x y z (fractional)
La1 0.0000 0.0000 0.1168
La2 0.0000 0.0000 0.8832
La3 0.5000 0.5000 0.3832
La4 0.5000 0.5000 0.6168
As1 0.0000 0.0000 0.3378
As2 0.0000 0.0000 0.6622
As3 0.0000 0.5000 0.0000
As4 0.0000 0.5000 0.5000
As5 0.5000 0.0000 0.0000
As6 0.5000 0.0000 0.5000
As7 0.5000 0.5000 0.1622
As8 0.5000 0.5000 0.8378
Au1 0.0000 0.5000 0.2500
Au2 0.0000 0.5000 0.7500
Au3 0.5000 0.0000 0.2500
Au4 0.5000 0.0000 0.7500

The 10 most intense peaks (15° ≤ 2θ ≤ 90°), sorted by position:
30.3 deg, I = 17
34.3 deg, I = 18
35.0 deg, I = 100
40.1 deg, I = 8
43.5 deg, I = 32
44.7 deg, I = 10
56.5 deg, I = 17
61.9 deg, I = 13
63.1 deg, I = 10
74.3 deg, I = 23

---

CaZrSi6H4O17: theoretical PXRD pattern (Cu Kα (λ = 1.5418 Å)), based on a cell relaxed with GGA-PBE.
Intensities are scaled so that the largest is 100.

Cell lengths 10.0792, 10.0792, 7.9590 Å; angles 103.38, 103.38, 90.60 degrees
Element x y z (fractional)
Ca1 0.2453 0.2453 0.4528
Ca2 0.7547 0.7547 0.5472
Zr1 0.0000 0.5000 0.5000
Zr2 0.5000 0.0000 0.5000
Si1 0.0498 0.2696 0.7699
Si2 0.1989 0.4265 0.1621
Si3 0.2539 0.7387 0.1974
Si4 0.2613 0.7461 0.8026
Si5 0.2696 0.0498 0.7699
Si6 0.4265 0.1989 0.1621
Si7 0.5735 0.8011 0.8379
Si8 0.7304 0.9502 0.2301
Si9 0.7387 0.2539 0.1974
Si10 0.7461 0.2613 0.8026
Si11 0.8011 0.5735 0.8379
Si12 0.9502 0.7304 0.2301
H1 0.0123 0.9038 0.7817
H2 0.0962 0.9877 0.2183
H3 0.3995 0.5099 0.6710
H4 0.4901 0.6005 0.3290
H5 0.5099 0.3995 0.6710
H6 0.6005 0.4901 0.3290
H7 0.9038 0.0123 0.7817
H8 0.9877 0.0962 0.2183
O1 0.0748 0.3324 0.6094
O2 0.0858 0.0858 0.2332
O3 0.1025 0.3787 0.9620
O4 0.1103 0.7780 0.2557
O5 0.1194 0.4241 0.3159
O6 0.1301 0.1301 0.7714
O7 0.1702 0.6202 0.6623
O8 0.2220 0.8897 0.7443
O9 0.2338 0.7662 0.0000
O10 0.2769 0.5753 0.1869
O11 0.3187 0.3187 0.1921
O12 0.3324 0.0748 0.6094
O13 0.3787 0.1025 0.9620
O14 0.3798 0.8298 0.3377
O15 0.4118 0.4118 0.6401
O16 0.4241 0.1194 0.3159
O17 0.4247 0.7231 0.8131
O18 0.5753 0.2769 0.1869
O19 0.5759 0.8806 0.6841
O20 0.5882 0.5882 0.3599
O21 0.6202 0.1702 0.6623
O22 0.6213 0.8975 0.0380
O23 0.6676 0.9252 0.3906
O24 0.6813 0.6813 0.8079
O25 0.7231 0.4247 0.8131
O26 0.7662 0.2338 0.0000
O27 0.7780 0.1103 0.2557
O28 0.8298 0.3798 0.3377
O29 0.8699 0.8699 0.2286
O30 0.8806 0.5759 0.6841
O31 0.8897 0.2220 0.7443
O32 0.8975 0.6213 0.0380
O33 0.9142 0.9142 0.7668
O34 0.9252 0.6676 0.3906

The 10 most intense peaks (15° ≤ 2θ ≤ 90°), sorted by position:
19.1 deg, I = 36
20.5 deg, I = 86
23.0 deg, I = 69
26.2 deg, I = 18
26.6 deg, I = 19
27.6 deg, I = 26
28.9 deg, I = 100
29.5 deg, I = 22
45.2 deg, I = 19
46.1 deg, I = 27

---

KAlSiO4: theoretical PXRD pattern (Cu Kα (λ = 1.5418 Å)), based on a cell relaxed with GGA-PBE.
Intensities are scaled so that the largest is 100.

Cell lengths 5.2185, 5.2398, 8.8494 Å; angles 89.36, 89.61, 60.21 degrees
Element x y z (fractional)
K1 0.0000 0.0000 0.0000
K2 0.0012 0.9969 0.4999
Al1 0.3283 0.3338 0.3058
Al2 0.6634 0.6678 0.8057
Si1 0.3301 0.3326 0.6881
Si2 0.6619 0.6694 0.1877
O1 0.0163 0.3809 0.7560
O2 0.3120 0.3385 0.5035
O3 0.3849 0.6004 0.7407
O4 0.3978 0.9833 0.2515
O5 0.6031 0.0126 0.7412
O6 0.6147 0.3985 0.2478
O7 0.6462 0.6821 0.0036
O8 0.9867 0.6163 0.2387

The 10 most intense peaks (15° ≤ 2θ ≤ 90°), sorted by position:
20.1 deg, I = 28
21.9 deg, I = 37
22.1 deg, I = 55
28.0 deg, I = 72
28.2 deg, I = 100
28.4 deg, I = 31
34.2 deg, I = 83
34.4 deg, I = 40
40.8 deg, I = 35
61.5 deg, I = 30

---

LiCuPO4: theoretical PXRD pattern (Cu Kα (λ = 1.5418 Å)), based on a cell relaxed with GGA-PBE.
Intensities are scaled so that the largest is 100.

Cell lengths 9.9253, 5.8428, 5.9895 Å; angles 90.00, 90.00, 90.00 degrees
Element x y z (fractional)
Li1 0.0527 0.1356 0.0000
Li2 0.4473 0.6356 0.5000
Li3 0.5527 0.3644 0.0000
Li4 0.9473 0.8644 0.5000
Cu1 0.1210 0.6194 0.0047
Cu2 0.3790 0.1194 0.5047
Cu3 0.6210 0.8806 0.0047
Cu4 0.8790 0.3806 0.5047
P1 0.1299 0.3513 0.6152
P2 0.3701 0.8513 0.1152
P3 0.6299 0.1487 0.6152
P4 0.8701 0.6487 0.1152
O1 0.0216 0.1526 0.6087
O2 0.0396 0.5692 0.5819
O3 0.1964 0.3508 0.8510
O4 0.2374 0.3323 0.4301
O5 0.2626 0.8323 0.9301
O6 0.3036 0.8508 0.3510
O7 0.4604 0.0692 0.0819
O8 0.4784 0.6526 0.1087
O9 0.5216 0.3474 0.6087
O10 0.5396 0.9308 0.5819
O11 0.6964 0.1492 0.8510
O12 0.7374 0.1677 0.4301
O13 0.7626 0.6677 0.9301
O14 0.8036 0.6492 0.3510
O15 0.9604 0.4308 0.0819
O16 0.9784 0.8474 0.1087

The 10 most intense peaks (15° ≤ 2θ ≤ 90°), sorted by position:
17.6 deg, I = 80
21.2 deg, I = 100
23.3 deg, I = 37
29.8 deg, I = 37
31.1 deg, I = 20
34.9 deg, I = 16
35.4 deg, I = 18
41.2 deg, I = 15
44.0 deg, I = 30
49.2 deg, I = 16

---

Pr5Sn10Rh4: theoretical PXRD pattern (Cu Kα (λ = 1.5418 Å)), based on a cell relaxed with GGA-PBE.
Intensities are scaled so that the largest is 100.

Cell lengths 14.2737, 14.2737, 4.6554 Å; angles 90.00, 90.00, 90.00 degrees
Element x y z (fractional)
Pr1 0.0000 0.0000 0.0000
Pr2 0.1120 0.3880 0.5000
Pr3 0.1779 0.6779 0.5000
Pr4 0.3221 0.1779 0.5000
Pr5 0.3880 0.8880 0.5000
Pr6 0.5000 0.5000 0.0000
Pr7 0.6120 0.1120 0.5000
Pr8 0.6779 0.8221 0.5000
Pr9 0.8221 0.3221 0.5000
Pr10 0.8880 0.6120 0.5000
Sn1 0.0049 0.8362 0.5000
Sn2 0.0694 0.5694 0.0000
Sn3 0.1541 0.1976 0.0000
Sn4 0.1638 0.0049 0.5000
Sn5 0.1976 0.8459 0.0000
Sn6 0.3024 0.3459 0.0000
Sn7 0.3362 0.5049 0.5000
Sn8 0.3459 0.6976 0.0000
Sn9 0.4306 0.0694 0.0000
Sn10 0.4951 0.3362 0.5000
Sn11 0.5049 0.6638 0.5000
Sn12 0.5694 0.9306 0.0000
Sn13 0.6541 0.3024 0.0000
Sn14 0.6638 0.4951 0.5000
Sn15 0.6976 0.6541 0.0000
Sn16 0.8024 0.1541 0.0000
Sn17 0.8362 0.9951 0.5000
Sn18 0.8459 0.8024 0.0000
Sn19 0.9306 0.4306 0.0000
Sn20 0.9951 0.1638 0.5000
Rh1 0.0276 0.7538 0.0000
Rh2 0.2462 0.0276 0.0000
Rh3 0.2538 0.5276 0.0000
Rh4 0.4724 0.2538 0.0000
Rh5 0.5276 0.7462 0.0000
Rh6 0.7462 0.4724 0.0000
Rh7 0.7538 0.9724 0.0000
Rh8 0.9724 0.2462 0.0000

The 10 most intense peaks (15° ≤ 2θ ≤ 90°), sorted by position:
29.6 deg, I = 48
31.6 deg, I = 22
32.0 deg, I = 37
32.2 deg, I = 27
32.8 deg, I = 100
34.1 deg, I = 28
38.4 deg, I = 26
38.7 deg, I = 51
51.0 deg, I = 20
55.6 deg, I = 22

---

RbAlF4: theoretical PXRD pattern (Cu Kα (λ = 1.5418 Å)), based on a cell relaxed with GGA-PBE.
Intensities are scaled so that the largest is 100.

Cell lengths 7.3695, 7.3794, 6.3969 Å; angles 90.00, 90.00, 90.00 degrees
Element x y z (fractional)
Rb1 0.2500 0.2500 0.0161
Rb2 0.2500 0.7500 0.0194
Rb3 0.7500 0.2500 0.9806
Rb4 0.7500 0.7500 0.9839
Al1 0.0000 0.0000 0.5000
Al2 0.0000 0.5000 0.5000
Al3 0.5000 0.0000 0.5000
Al4 0.5000 0.5000 0.5000
F1 0.0175 0.5028 0.7780
F2 0.0175 0.9972 0.7780
F3 0.0330 0.7500 0.4927
F4 0.2500 0.0330 0.4747
F5 0.2500 0.4670 0.4747
F6 0.4670 0.7500 0.4927
F7 0.4825 0.5028 0.7780
F8 0.4825 0.9972 0.7780
F9 0.5175 0.0028 0.2220
F10 0.5175 0.4972 0.2220
F11 0.5330 0.2500 0.5073
F12 0.7500 0.5330 0.5253
F13 0.7500 0.9670 0.5253
F14 0.9670 0.2500 0.5073
F15 0.9825 0.0028 0.2220
F16 0.9825 0.4972 0.2220

The 10 most intense peaks (15° ≤ 2θ ≤ 90°), sorted by position:
27.9 deg, I = 100
34.4 deg, I = 27
37.2 deg, I = 63
49.4 deg, I = 34
49.5 deg, I = 11
57.7 deg, I = 22
57.8 deg, I = 16
72.5 deg, I = 20
79.3 deg, I = 11
84.4 deg, I = 6

---

Zr4N3OF5: theoretical PXRD pattern (Cu Kα (λ = 1.5418 Å)), based on a cell relaxed with GGA-PBE.
Intensities are scaled so that the largest is 100.

Cell lengths 5.2116, 5.4441, 21.8213 Å; angles 90.00, 90.20, 90.00 degrees
Element x y z (fractional)
Zr1 0.1817 0.2190 0.1275
Zr2 0.1817 0.2810 0.6275
Zr3 0.1892 0.7235 0.7498
Zr4 0.1892 0.7765 0.2498
Zr5 0.1957 0.7305 0.5012
Zr6 0.1957 0.7695 0.0012
Zr7 0.2032 0.2253 0.3709
Zr8 0.2032 0.2747 0.8709
Zr9 0.7968 0.7253 0.1291
Zr10 0.7968 0.7747 0.6291
Zr11 0.8043 0.2305 0.9988
Zr12 0.8043 0.2695 0.4988
Zr13 0.8108 0.2235 0.7502
Zr14 0.8108 0.2765 0.2502
Zr15 0.8183 0.7190 0.3725
Zr16 0.8183 0.7810 0.8725
N1 0.0326 0.0347 0.9378
N2 0.0326 0.4653 0.4378
N3 0.0375 0.5045 0.1855
N4 0.0375 0.9955 0.6855
N5 0.0444 0.5044 0.3122
N6 0.0444 0.9956 0.8122
N7 0.9556 0.0044 0.1878
N8 0.9556 0.4956 0.6878
N9 0.9625 0.0045 0.3145
N10 0.9625 0.4955 0.8145
N11 0.9674 0.5347 0.5622
N12 0.9674 0.9653 0.0622
O1 0.0055 0.0336 0.5601
O2 0.0055 0.4664 0.0601
O3 0.9945 0.5336 0.9399
O4 0.9945 0.9664 0.4399
F1 0.4246 0.1339 0.2530
F2 0.4246 0.3661 0.7530
F3 0.4297 0.6136 0.6524
F4 0.4297 0.8864 0.1524
F5 0.4404 0.6325 0.8503
F6 0.4404 0.8675 0.3503
F7 0.4464 0.1270 0.0466
F8 0.4464 0.3730 0.5466
F9 0.4881 0.1288 0.4463
F10 0.4881 0.3712 0.9463
F11 0.5119 0.6288 0.0537
F12 0.5119 0.8712 0.5537
F13 0.5536 0.6270 0.4534
F14 0.5536 0.8730 0.9534
F15 0.5596 0.1325 0.6497
F16 0.5596 0.3675 0.1497
F17 0.5703 0.1136 0.8476
F18 0.5703 0.3864 0.3476
F19 0.5754 0.6339 0.2470
F20 0.5754 0.8661 0.7470

The 10 most intense peaks (15° ≤ 2θ ≤ 90°), sorted by position:
17.0 deg, I = 8
28.8 deg, I = 100
32.9 deg, I = 31
41.9 deg, I = 25
47.2 deg, I = 19
48.2 deg, I = 7
48.4 deg, I = 10
56.1 deg, I = 8
56.3 deg, I = 22
63.6 deg, I = 9

---

EuNi12B6: theoretical PXRD pattern (Cu Kα (λ = 1.5418 Å)), based on a cell relaxed with GGA-PBE.
Intensities are scaled so that the largest is 100.

Cell lengths 6.0351, 6.0351, 6.0351 Å; angles 104.31, 104.31, 104.31 degrees
Element x y z (fractional)
Eu1 0.0000 0.0000 0.0000
Ni1 0.1311 0.5000 0.8689
Ni2 0.1311 0.8689 0.5000
Ni3 0.1876 0.4580 0.4580
Ni4 0.4580 0.1876 0.4580
Ni5 0.4580 0.4580 0.1876
Ni6 0.5000 0.1311 0.8689
Ni7 0.5000 0.8689 0.1311
Ni8 0.5420 0.5420 0.8124
Ni9 0.5420 0.8124 0.5420
Ni10 0.8124 0.5420 0.5420
Ni11 0.8689 0.1311 0.5000
Ni12 0.8689 0.5000 0.1311
B1 0.2338 0.2338 0.6629
B2 0.2338 0.6629 0.2338
B3 0.3371 0.7662 0.7662
B4 0.6629 0.2338 0.2338
B5 0.7662 0.3371 0.7662
B6 0.7662 0.7662 0.3371

The 10 most intense peaks (15° ≤ 2θ ≤ 90°), sorted by position:
31.1 deg, I = 14
32.4 deg, I = 40
32.5 deg, I = 30
41.1 deg, I = 55
41.3 deg, I = 100
46.6 deg, I = 21
49.5 deg, I = 23
58.1 deg, I = 22
61.5 deg, I = 18
63.9 deg, I = 12